# LiCrPO4
Computed powder X-ray diffraction pattern, a wavelength of 1.5418 Å. Input: a DFT-relaxed cell (GGA+U, the Materials Project).
Peak positions follow from Bragg's law for the DFT cell and can differ from measured ones.

Cell and atoms:
Cell: 4.789 10.133 7.272 Å, 90.00 95.77 90.00°
Fractional positions:
Li 0.158 0.000 0.251
Li 0.235 0.078 0.753
Li 0.765 0.578 0.247
Li 0.842 0.500 0.749
Cr 0.237 0.351 0.447
Cr 0.326 0.778 0.934
Cr 0.674 0.278 0.066
Cr 0.763 0.851 0.553
P 0.225 0.670 0.520
P 0.297 0.475 0.051
P 0.703 0.975 0.949
P 0.775 0.170 0.480
O 0.025 0.969 0.967
O 0.092 0.543 0.430
O 0.098 0.794 0.413
O 0.126 0.672 0.720
O 0.409 0.617 0.087
O 0.419 0.403 0.888
O 0.445 0.400 0.227
O 0.451 0.169 0.476
O 0.549 0.669 0.524
O 0.555 0.900 0.773
O 0.581 0.903 0.112
O 0.591 0.117 0.913
O 0.874 0.172 0.280
O 0.902 0.294 0.587
O 0.908 0.043 0.570
O 0.975 0.469 0.033

Main lines, by angle (5° ≤ 2θ ≤ 70°):
Position (°2θ), intensity
15.05, 66
20.60, 100
21.41, 31
24.61, 83
32.50, 33
35.53, 46


# LiCrP2O7
Computed powder X-ray diffraction pattern, a wavelength of 1.5418 Å. Input: a DFT-relaxed cell (GGA+U, the Materials Project).
Peak positions follow from Bragg's law for the DFT cell and can differ from measured ones.

Cell and atoms:
Cell: 7.955 7.955 10.490 Å, 91.73 91.73 114.56°
Fractional positions:
Li 0.221 0.778 0.501
Li 0.222 0.779 0.999
Li 0.778 0.221 0.001
Li 0.779 0.222 0.499
Cr 0.173 0.174 0.093
Cr 0.174 0.173 0.593
Cr 0.826 0.827 0.407
Cr 0.827 0.826 0.907
P 0.173 0.390 0.858
P 0.182 0.393 0.359
P 0.390 0.173 0.358
P 0.393 0.182 0.859
P 0.607 0.818 0.141
P 0.610 0.827 0.642
P 0.818 0.607 0.641
P 0.827 0.610 0.142
O 0.049 0.253 0.959
O 0.054 0.258 0.459
O 0.102 0.302 0.723
O 0.110 0.308 0.223
O 0.197 0.583 0.879
O 0.213 0.588 0.382
O 0.253 0.049 0.459
O 0.258 0.054 0.959
O 0.302 0.102 0.223
O 0.308 0.110 0.723
O 0.373 0.378 0.881
O 0.378 0.373 0.381
O 0.412 0.787 0.118
O 0.417 0.803 0.621
O 0.583 0.197 0.379
O 0.588 0.213 0.882
O 0.622 0.627 0.619
O 0.627 0.622 0.119
O 0.692 0.890 0.277
O 0.698 0.898 0.777
O 0.742 0.946 0.041
O 0.747 0.951 0.541
O 0.787 0.412 0.618
O 0.803 0.417 0.121
O 0.890 0.692 0.777
O 0.898 0.698 0.277
O 0.946 0.742 0.541
O 0.951 0.747 0.041

Main lines, by angle (5° ≤ 2θ ≤ 70°):
Position (°2θ), intensity
13.23, 100
20.69, 83
24.64, 36
26.09, 57
27.90, 38
28.61, 29


# LiCrP2O7
Computed powder X-ray diffraction pattern, a wavelength of 1.5418 Å. Input: a DFT-relaxed cell (GGA+U, the Materials Project).
Peak positions follow from Bragg's law for the DFT cell and can differ from measured ones.

Cell and atoms:
Cell: 6.999 8.450 9.187 Å, 90.00 112.20 90.00°
Fractional positions:
Li 0.201 0.073 0.095
Li 0.201 0.427 0.595
Li 0.799 0.573 0.405
Li 0.799 0.927 0.905
Cr 0.303 0.066 0.684
Cr 0.303 0.434 0.184
Cr 0.697 0.566 0.816
Cr 0.697 0.934 0.316
P 0.064 0.734 0.742
P 0.064 0.766 0.242
P 0.473 0.718 0.034
P 0.473 0.782 0.534
P 0.527 0.218 0.466
P 0.527 0.282 0.966
P 0.936 0.234 0.758
P 0.936 0.266 0.258
O 0.045 0.608 0.623
O 0.045 0.892 0.123
O 0.115 0.601 0.195
O 0.115 0.899 0.695
O 0.124 0.241 0.709
O 0.124 0.259 0.209
O 0.247 0.690 0.908
O 0.247 0.810 0.408
O 0.375 0.223 0.552
O 0.375 0.277 0.052
O 0.479 0.620 0.614
O 0.479 0.880 0.114
O 0.494 0.081 0.350
O 0.494 0.419 0.850
O 0.506 0.581 0.150
O 0.506 0.919 0.650
O 0.521 0.120 0.886
O 0.521 0.380 0.386
O 0.625 0.723 0.948
O 0.625 0.777 0.448
O 0.753 0.190 0.592
O 0.753 0.310 0.092
O 0.876 0.741 0.791
O 0.876 0.759 0.291
O 0.885 0.101 0.305
O 0.885 0.399 0.805
O 0.955 0.108 0.877
O 0.955 0.392 0.377

Main lines, by angle (5° ≤ 2θ ≤ 70°):
Position (°2θ), intensity
14.78, 29
22.74, 70
23.51, 29
29.15, 71
29.31, 100
29.58, 84


# Li2Cr2P2O9
Computed powder X-ray diffraction pattern, a wavelength of 1.5418 Å. Input: a DFT-relaxed cell (GGA+U, the Materials Project).
Peak positions follow from Bragg's law for the DFT cell and can differ from measured ones.

Cell and atoms:
Cell: 8.387 5.595 14.381 Å, 90.00 90.00 90.00°
Fractional positions:
Li 0.017 0.250 0.126
Li 0.029 0.250 0.742
Li 0.471 0.750 0.242
Li 0.483 0.750 0.626
Li 0.517 0.250 0.374
Li 0.529 0.250 0.758
Li 0.971 0.750 0.258
Li 0.983 0.750 0.874
Cr 0.000 0.000 0.500
Cr 0.000 0.500 0.500
Cr 0.210 0.250 0.936
Cr 0.290 0.750 0.436
Cr 0.500 0.000 0.000
Cr 0.500 0.500 0.000
Cr 0.710 0.250 0.564
Cr 0.790 0.750 0.064
P 0.171 0.750 0.069
P 0.205 0.250 0.329
P 0.295 0.750 0.829
P 0.329 0.250 0.569
P 0.671 0.750 0.431
P 0.705 0.250 0.171
P 0.795 0.750 0.671
P 0.829 0.250 0.931
O 0.012 0.750 0.014
O 0.060 0.750 0.413
O 0.063 0.250 0.405
O 0.130 0.250 0.236
O 0.150 0.750 0.172
O 0.184 0.527 0.847
O 0.184 0.973 0.847
O 0.235 0.016 0.536
O 0.235 0.484 0.536
O 0.265 0.516 0.036
O 0.265 0.984 0.036
O 0.316 0.027 0.347
O 0.316 0.473 0.347
O 0.350 0.250 0.672
O 0.370 0.750 0.736
O 0.437 0.750 0.905
O 0.440 0.250 0.913
O 0.488 0.250 0.514
O 0.512 0.750 0.486
O 0.560 0.750 0.087
O 0.563 0.250 0.095
O 0.630 0.250 0.264
O 0.650 0.750 0.328
O 0.684 0.527 0.653
O 0.684 0.973 0.653
O 0.735 0.016 0.964
O 0.735 0.484 0.964
O 0.765 0.516 0.464
O 0.765 0.984 0.464
O 0.816 0.027 0.153
O 0.816 0.473 0.153
O 0.850 0.250 0.828
O 0.870 0.750 0.764
O 0.937 0.750 0.595
O 0.940 0.250 0.587
O 0.988 0.250 0.986

Main lines, by angle (5° ≤ 2θ ≤ 70°):
Position (°2θ), intensity
12.30, 100
16.24, 22
24.45, 25
26.70, 13
32.61, 28
38.77, 14